Structure and theoretical X-ray powder pattern of Cd4AgF8 (a DFT-relaxed cell (PBE, Alexandria); Cu Kα).
Peak positions follow from Bragg's law for the DFT cell and can differ from measured ones.

Main lines, by angle (2θ = 10–90°):
2theta, d_spacing, I_rel
15.37, 5.766, 64.5
29.67, 3.011, 100.0
31.02, 2.883, 34.0
35.97, 2.497, 37.1
47.29, 1.922, 45.3
51.78, 1.765, 49.6

Atomic structure:
```
Cd4AgF8
1.0
0.0000 4.9935 4.9935
4.9935 0.0000 4.9935
4.9935 4.9935 0.0000
Cd Ag F
4 1 8
Direct
0.3761 0.3761 0.3761
0.3761 0.3761 0.8718
0.3761 0.8718 0.3761
0.8718 0.3761 0.3761
0.0000 0.0000 0.0000
0.1423 0.1423 0.1423
0.1423 0.1423 0.5730
0.1423 0.5730 0.1423
0.1860 0.6047 0.6047
0.5730 0.1423 0.1423
0.6047 0.1860 0.6047
0.6047 0.6047 0.1860
0.6047 0.6047 0.6047
```

---

Structure and theoretical X-ray powder pattern of Pm4Sb6Rh7 (a DFT-relaxed cell (PBE, Alexandria); Cu Kα).
Peak positions follow from Bragg's law for the DFT cell and can differ from measured ones.

Main lines, by angle (2θ = 10–90°):
2theta, d_spacing, I_rel
34.96, 2.567, 100.0
40.59, 2.223, 61.8
43.17, 2.096, 20.3
47.99, 1.896, 19.1
58.74, 1.572, 29.0
70.22, 1.340, 22.8

Atomic structure:
```
Pm4Sb6Rh7
1.0
-4.4456 4.4456 4.4456
4.4456 -4.4456 4.4456
4.4456 4.4456 -4.4456
Pm Sb Rh
4 6 7
Direct
0.0000 0.0000 0.5000
0.0000 0.5000 0.0000
0.5000 0.0000 0.0000
0.5000 0.5000 0.5000
0.0000 0.3195 0.3195
0.0000 0.6805 0.6805
0.3195 0.0000 0.3195
0.3195 0.3195 0.0000
0.6805 0.0000 0.6805
0.6805 0.6805 0.0000
0.0000 0.0000 0.0000
0.2500 0.5000 0.7500
0.2500 0.7500 0.5000
0.5000 0.2500 0.7500
0.5000 0.7500 0.2500
0.7500 0.2500 0.5000
0.7500 0.5000 0.2500
```

---

Structure and theoretical X-ray powder pattern of RbSmTcN3 (a DFT-relaxed cell (PBE, Alexandria); Cu Kα).
Peak positions follow from Bragg's law for the DFT cell and can differ from measured ones.

Main lines, by angle (2θ = 10–90°):
2theta, d_spacing, I_rel
11.19, 7.906, 68.6
29.07, 3.072, 30.9
30.48, 2.932, 100.0
31.66, 2.826, 69.8
40.80, 2.211, 19.5
46.34, 1.959, 18.4

Atomic structure:
```
RbSmTcN3
1.0
6.8560 -1.9593 0.0000
6.8560 1.9593 0.0000
-2.0599 0.0000 7.9058
Rb Sm Tc N
2 2 2 6
Direct
0.1402 0.1402 0.0709
0.8598 0.8598 0.9291
0.1611 0.1611 0.5746
0.8389 0.8389 0.4254
0.4965 0.4965 0.6637
0.5035 0.5035 0.3363
0.0115 0.0115 0.3359
0.3413 0.3413 0.6172
0.3692 0.3692 0.2216
0.6308 0.6308 0.7784
0.6587 0.6587 0.3828
0.9885 0.9885 0.6641
```

---

Structure and theoretical X-ray powder pattern of Ta4Ag2O11 (a DFT-relaxed cell (PBE, Alexandria); Cu Kα).
Peak positions follow from Bragg's law for the DFT cell and can differ from measured ones.

Main lines, by angle (2θ = 10–90°):
2theta, d_spacing, I_rel
28.64, 3.117, 48.5
29.36, 3.042, 63.3
31.94, 2.802, 100.0
50.38, 1.811, 32.0
52.84, 1.733, 27.4
58.98, 1.566, 34.2

Atomic structure:
```
Ta4Ag2O11
1.0
3.1372 1.8112 12.4690
-3.1372 1.8112 12.4690
0.0000 -3.6225 12.4690
Ta Ag O
8 4 22
Direct
0.0000 0.0000 0.0000
0.1129 0.7500 0.3871
0.2500 0.6129 0.8871
0.3871 0.1129 0.7500
0.5000 0.5000 0.5000
0.6129 0.8871 0.2500
0.7500 0.3871 0.1129
0.8871 0.2500 0.6129
0.1703 0.1703 0.1703
0.3297 0.3297 0.3297
0.6703 0.6703 0.6703
0.8297 0.8297 0.8297
0.0026 0.4974 0.2500
0.0661 0.7556 0.2718
0.0930 0.0930 0.0930
0.2282 0.7444 0.4339
0.2444 0.7282 0.9339
0.2500 0.0026 0.4974
0.2556 0.5661 0.7718
0.2718 0.0661 0.7556
0.4070 0.4070 0.4070
0.4339 0.2282 0.7444
0.4974 0.2500 0.0026
0.5026 0.7500 0.9974
0.5661 0.7718 0.2556
0.5930 0.5930 0.5930
0.7282 0.9339 0.2444
0.7444 0.4339 0.2282
0.7500 0.9974 0.5026
0.7556 0.2718 0.0661
0.7718 0.2556 0.5661
0.9070 0.9070 0.9070
0.9339 0.2444 0.7282
0.9974 0.5026 0.7500
```

---

Structure and theoretical X-ray powder pattern of TbIn9Rh2 (a DFT-relaxed cell (PBE, Alexandria); Cu Kα).
Peak positions follow from Bragg's law for the DFT cell and can differ from measured ones.

Main lines, by angle (2θ = 10–90°):
2theta, d_spacing, I_rel
28.78, 3.102, 23.0
32.32, 2.770, 44.4
33.77, 2.654, 100.0
38.10, 2.362, 19.6
38.42, 2.343, 62.2
41.21, 2.190, 19.8

Atomic structure:
```
TbIn9Rh2
1.0
-6.1935 6.1935 3.6089
6.1935 -6.1935 3.6089
6.1935 6.1935 -3.6089
Tb In Rh
2 18 4
Direct
0.3750 0.6250 0.7500
0.6250 0.3750 0.2500
0.1015 0.5494 0.3120
0.1015 0.7895 0.5521
0.1250 0.8750 0.2500
0.2105 0.2625 0.3120
0.2105 0.8985 0.9479
0.2625 0.2105 0.8120
0.2625 0.4506 0.0521
0.4506 0.2625 0.5521
0.4506 0.8985 0.1880
0.5494 0.1015 0.8120
0.5494 0.7375 0.4479
0.7375 0.5494 0.9479
0.7375 0.7895 0.1880
0.7895 0.1015 0.0521
0.7895 0.7375 0.6880
0.8750 0.1250 0.7500
0.8985 0.2105 0.4479
0.8985 0.4506 0.6880
0.0000 0.0000 0.0000
0.0000 0.0000 0.5000
0.0000 0.5000 0.0000
0.5000 0.0000 0.5000
```

---

Structure and theoretical X-ray powder pattern of Na3Bi4F12 (a DFT-relaxed cell (PBE, Alexandria); Cu Kα).
Peak positions follow from Bragg's law for the DFT cell and can differ from measured ones.

Main lines, by angle (2θ = 10–90°):
2theta, d_spacing, I_rel
19.93, 4.455, 100.0
28.33, 3.150, 97.7
40.50, 2.227, 26.7
45.53, 1.992, 52.1
50.16, 1.819, 55.9
80.70, 1.191, 26.7

Atomic structure:
```
Na3Bi4F12
1.0
-4.4549 4.4549 4.4549
4.4549 -4.4549 4.4549
4.4549 4.4549 -4.4549
Na Bi F
3 4 12
Direct
0.0000 0.5000 0.5000
0.5000 0.0000 0.5000
0.5000 0.5000 0.0000
0.0000 0.0000 0.5000
0.0000 0.5000 0.0000
0.5000 0.0000 0.0000
0.5000 0.5000 0.5000
0.1290 0.7853 0.3437
0.2147 0.3437 0.5585
0.2147 0.6563 0.8710
0.3437 0.1290 0.7853
0.3437 0.5585 0.2147
0.4415 0.7853 0.6563
0.5585 0.2147 0.3437
0.6563 0.4415 0.7853
0.6563 0.8710 0.2147
0.7853 0.3437 0.1290
0.7853 0.6563 0.4415
0.8710 0.2147 0.6563
```

---

Structure and theoretical X-ray powder pattern of Ce2BiCl3 (a DFT-relaxed cell (PBE, Alexandria); Cu Kα).
Peak positions follow from Bragg's law for the DFT cell and can differ from measured ones.

Main lines, by angle (2θ = 10–90°):
2theta, d_spacing, I_rel
23.28, 3.822, 84.5
27.55, 3.237, 100.0
28.17, 3.167, 83.1
29.84, 2.994, 96.9
33.53, 2.672, 81.5
34.62, 2.591, 73.8

Atomic structure:
```
Ce2BiCl3
1.0
8.1913 -2.2198 0.0000
8.1913 2.2198 0.0000
-4.0838 0.0000 10.5770
Ce Bi Cl
4 2 6
Direct
0.0223 0.0223 0.1927
0.2704 0.2704 0.1711
0.7296 0.7296 0.8289
0.9777 0.9777 0.8073
0.3826 0.3826 0.9753
0.6174 0.6174 0.0247
0.1271 0.1271 0.7131
0.2003 0.2003 0.3500
0.4609 0.4609 0.6539
0.5391 0.5391 0.3461
0.7997 0.7997 0.6500
0.8729 0.8729 0.2869
```

---

Structure and theoretical X-ray powder pattern of Er2SiPIr6 (a DFT-relaxed cell (PBE, Alexandria); Cu Kα).
Peak positions follow from Bragg's law for the DFT cell and can differ from measured ones.

Main lines, by angle (2θ = 10–90°):
2theta, d_spacing, I_rel
27.95, 3.192, 34.6
30.76, 2.906, 65.5
35.09, 2.557, 37.9
39.59, 2.276, 100.0
40.52, 2.226, 41.9
42.32, 2.135, 45.9

Atomic structure:
```
Er2SiPIr6
1.0
5.3800 0.0000 0.0000
0.0000 8.5419 0.0000
0.0000 0.0000 7.9323
Er Si P Ir
4 2 2 12
Direct
0.2500 0.0239 0.2103
0.2500 0.4761 0.2103
0.7500 0.5239 0.7897
0.7500 0.9761 0.7897
0.2500 0.7500 0.7781
0.7500 0.2500 0.2219
0.2500 0.2500 0.7375
0.7500 0.7500 0.2625
0.0035 0.2500 0.4659
0.0068 0.7500 0.0298
0.2500 0.0071 0.6009
0.2500 0.4929 0.6009
0.4932 0.7500 0.0298
0.4965 0.2500 0.4659
0.5035 0.7500 0.5341
0.5068 0.2500 0.9702
0.7500 0.5071 0.3991
0.7500 0.9929 0.3991
0.9932 0.2500 0.9702
0.9965 0.7500 0.5341
```

---

Structure and theoretical X-ray powder pattern of Y3Mn4 (a DFT-relaxed cell (PBE, Alexandria); Cu Kα).
Peak positions follow from Bragg's law for the DFT cell and can differ from measured ones.

Main lines, by angle (2θ = 10–90°):
2theta, d_spacing, I_rel
27.80, 3.209, 35.3
35.80, 2.508, 100.0
36.66, 2.451, 83.0
41.22, 2.190, 32.0
52.82, 1.733, 27.5
65.46, 1.426, 31.0

Atomic structure:
```
Y3Mn4
1.0
3.4665 0.0000 0.0000
0.0000 3.4665 0.0000
0.0000 0.0000 25.4330
Y Mn
6 8
Direct
0.0000 0.0000 0.0000
0.0000 0.0000 0.3072
0.0000 0.0000 0.6928
0.5000 0.5000 0.1928
0.5000 0.5000 0.5000
0.5000 0.5000 0.8072
0.0000 0.0000 0.1209
0.0000 0.0000 0.4260
0.0000 0.0000 0.5740
0.0000 0.0000 0.8791
0.5000 0.5000 0.0740
0.5000 0.5000 0.3791
0.5000 0.5000 0.6209
0.5000 0.5000 0.9260
```

---

Structure and theoretical X-ray powder pattern of SbO2 (a DFT-relaxed cell (PBE, Alexandria); Cu Kα).
Peak positions follow from Bragg's law for the DFT cell and can differ from measured ones.

Main lines, by angle (2θ = 10–90°):
2theta, d_spacing, I_rel
16.96, 5.227, 34.1
23.29, 3.820, 61.2
27.57, 3.236, 100.0
33.59, 2.668, 21.1
36.35, 2.471, 26.8
42.73, 2.116, 19.1

Atomic structure:
```
SbO2
1.0
5.5968 0.0000 0.0000
0.0000 10.5444 0.0000
0.0000 0.0000 6.0181
Sb O
8 16
Direct
0.0921 0.2500 0.2500
0.2500 0.0000 0.6539
0.2500 0.5000 0.8461
0.4079 0.7500 0.2500
0.5921 0.2500 0.7500
0.7500 0.0000 0.3461
0.7500 0.5000 0.1539
0.9079 0.7500 0.7500
0.0227 0.6150 0.0452
0.0227 0.8850 0.4548
0.1483 0.6235 0.6208
0.1483 0.8765 0.8792
0.3517 0.1235 0.8792
0.3517 0.3765 0.6208
0.4773 0.1150 0.4548
0.4773 0.3850 0.0452
0.5227 0.6150 0.9548
0.5227 0.8850 0.5452
0.6483 0.6235 0.3792
0.6483 0.8765 0.1208
0.8517 0.1235 0.1208
0.8517 0.3765 0.3792
0.9773 0.1150 0.5452
0.9773 0.3850 0.9548
```

---

Structure and theoretical X-ray powder pattern of DyTh4 (a DFT-relaxed cell (PBE, Alexandria); Cu Kα).
Peak positions follow from Bragg's law for the DFT cell and can differ from measured ones.

Main lines, by angle (2θ = 10–90°):
2theta, d_spacing, I_rel
30.00, 2.978, 82.1
30.66, 2.916, 100.0
32.28, 2.774, 87.0
33.26, 2.694, 75.9
51.11, 1.787, 55.5
60.83, 1.523, 46.6

Atomic structure:
```
DyTh4
1.0
3.5731 0.0000 0.0000
1.7844 3.0966 0.0000
0.0051 2.0184 14.5748
Dy Th
1 4
Direct
0.0000 0.0000 0.0000
0.1339 0.7350 0.3999
0.4002 0.2040 0.2016
0.5998 0.7960 0.7984
0.8661 0.2650 0.6001
```

---

Structure and theoretical X-ray powder pattern of LaMg2Zn3 (a DFT-relaxed cell (PBE, Alexandria); Cu Kα).
Peak positions follow from Bragg's law for the DFT cell and can differ from measured ones.

Main lines, by angle (2θ = 10–90°):
2theta, d_spacing, I_rel
29.10, 3.069, 67.0
31.21, 2.866, 67.0
31.96, 2.800, 100.0
33.16, 2.701, 73.9
34.11, 2.628, 56.1
44.14, 2.052, 57.1

Atomic structure:
```
LaMg2Zn3
1.0
5.0896 -4.2030 0.0000
5.0896 4.2030 0.0000
0.0000 0.0000 6.1383
La Mg Zn
2 4 6
Direct
0.1776 0.8224 0.7500
0.8224 0.1776 0.2500
0.2853 0.2853 0.0000
0.2853 0.2853 0.5000
0.7147 0.7147 0.0000
0.7147 0.7147 0.5000
0.0597 0.6731 0.2500
0.3269 0.9403 0.2500
0.4441 0.5559 0.2500
0.5559 0.4441 0.7500
0.6731 0.0597 0.7500
0.9403 0.3269 0.7500
```